(1)
For Ti2FeB2Rh5, a DFT-relaxed cell (PBE, the Materials Project) gives the computed powder X-ray diffraction pattern in this record (a wavelength of 1.5418 Å).
Neutral-atom scattering factors, no anomalous dispersion.

Structural model:
Cell: 9.0871 9.0871 3.1106 Å, 90.00 90.00 90.00°
Fractional coordinates of all 20 atoms:
Ti: 0.1760 0.3240 0.0000
Ti: 0.3240 0.8240 0.0000
Ti: 0.6760 0.1760 0.0000
Ti: 0.8240 0.6760 0.0000
Fe: 0.0000 0.0000 0.0000
Fe: 0.5000 0.5000 0.0000
B: 0.1250 0.6250 0.0000
B: 0.3750 0.1250 0.0000
B: 0.6250 0.8750 0.0000
B: 0.8750 0.3750 0.0000
Rh: 0.0000 0.5000 0.5000
Rh: 0.0732 0.7862 0.5000
Rh: 0.2138 0.0732 0.5000
Rh: 0.2862 0.5732 0.5000
Rh: 0.4268 0.2862 0.5000
Rh: 0.5000 0.0000 0.5000
Rh: 0.5732 0.7138 0.5000
Rh: 0.7138 0.4268 0.5000
Rh: 0.7862 0.9268 0.5000
Rh: 0.9268 0.2138 0.5000

The 10 most intense peaks (10 to 90 degrees two-theta), in order of rising 2θ:
| two_theta | intensity |
| --- | --- |
| 28.70 | 458 |
| 35.62 | 314 |
| 36.37 | 490 |
| 40.36 | 267 |
| 40.95 | 679 |
| 42.84 | 1000 |
| 44.59 | 406 |
| 46.37 | 455 |
| 50.77 | 220 |
| 80.94 | 310 |

(2)
For Ti3Ge, a DFT-relaxed cell (PBE, the Materials Project) gives the computed powder X-ray diffraction pattern in this record (a wavelength of 1.5418 Å).
Neutral-atom scattering factors, no anomalous dispersion.

Structural model:
Cell: 6.3531 6.3531 6.3531 Å, 90.00 90.00 90.00°
Fractional coordinates of all 16 atoms:
Ti: 0.0000 0.0000 0.0000
Ti: 0.0000 0.5000 0.5000
Ti: 0.2500 0.2500 0.2500
Ti: 0.2500 0.2500 0.7500
Ti: 0.2500 0.7500 0.2500
Ti: 0.2500 0.7500 0.7500
Ti: 0.5000 0.0000 0.5000
Ti: 0.5000 0.5000 0.0000
Ti: 0.7500 0.2500 0.2500
Ti: 0.7500 0.2500 0.7500
Ti: 0.7500 0.7500 0.2500
Ti: 0.7500 0.7500 0.7500
Ge: 0.0000 0.0000 0.5000
Ge: 0.0000 0.5000 0.0000
Ge: 0.5000 0.0000 0.0000
Ge: 0.5000 0.5000 0.5000

The 10 most intense peaks (10 to 90 degrees two-theta), in order of rising 2θ:
| two_theta | intensity |
| --- | --- |
| 24.27 | 39 |
| 28.09 | 21 |
| 40.15 | 1000 |
| 47.46 | 23 |
| 58.07 | 156 |
| 63.87 | 10 |
| 65.73 | 10 |
| 72.95 | 302 |
| 78.18 | 8 |
| 86.70 | 94 |

(3)
For AlSn2O4, a DFT-relaxed cell (PBE, the Materials Project) gives the computed powder X-ray diffraction pattern in this record (a wavelength of 1.5418 Å).
Neutral-atom scattering factors, no anomalous dispersion.

Structural model:
Cell: 6.8588 6.8588 6.8588 Å, 53.25 53.25 53.25°
Fractional coordinates of all 14 atoms:
Al: 0.1373 0.1373 0.1373
Al: 0.8627 0.8627 0.8627
Sn: 0.0000 0.5000 0.5000
Sn: 0.5000 0.0000 0.5000
Sn: 0.5000 0.5000 0.0000
Sn: 0.5000 0.5000 0.5000
O: 0.2260 0.7368 0.7368
O: 0.2371 0.2371 0.2371
O: 0.2632 0.2632 0.7740
O: 0.2632 0.7740 0.2632
O: 0.7368 0.2260 0.7368
O: 0.7368 0.7368 0.2260
O: 0.7629 0.7629 0.7629
O: 0.7740 0.2632 0.2632

The 10 most intense peaks (10 to 90 degrees two-theta), in order of rising 2θ:
| two_theta | intensity |
| --- | --- |
| 17.40 | 920 |
| 30.45 | 735 |
| 32.89 | 790 |
| 34.06 | 372 |
| 35.22 | 484 |
| 39.57 | 1000 |
| 54.04 | 641 |
| 60.21 | 363 |
| 68.97 | 310 |
| 85.17 | 240 |